Record 1
Simulated powder diffractogram
Compound: Sm2Ga2Tc2C
Radiation: Cu Kα X-rays
Structure: the GGA-PBE geometry in Alexandria
Kinematic intensities with the Lorentz-polarization factor, no thermal factor.

Structure:
abc: 11.1642 3.7908 7.4398
angles: 90.00 124.56 90.00
Space group C2/m (No. 12)
Asymmetric unit:
Sm1 0.0717 0.0000 0.2902 [4 per cell]
Ga1 0.1369 0.5000 0.6663 [4 per cell]
Tc1 0.1975 0.5000 0.0665 [4 per cell]
C1 0.0000 0.5000 0.0000 [2 per cell]

Top 8 peaks for 2θ from 15° to 90°, low angle first:
- 2θ 30.21, I 25, (2 0 1)
- 2θ 32.94, I 33, (4 0 -1)
- 2θ 33.81, I 75, (3 1 -1)
- 2θ 34.47, I 100, (1 1 -2)
- 2θ 37.75, I 32, (3 1 0)
- 2θ 38.99, I 37, (4 0 -3)
- 2θ 48.00, I 28, (0 2 0)
- 2θ 63.49, I 28, (4 2 -3)

***

Record 2
Simulated powder diffractogram
Compound: Ac6PrCd
Radiation: Cu Kα X-rays
Structure: the GGA-PBE geometry in Alexandria
Kinematic intensities with the Lorentz-polarization factor, no thermal factor.

Structure:
abc: 5.4731 5.4731 21.6438
angles: 90.00 90.00 90.00
Space group I4/mmm (No. 139)
Asymmetric unit:
Ac1 0.0000 0.0000 0.2502 [4 per cell]
Ac2 0.0000 0.5000 0.1174 [8 per cell]
Pr1 0.0000 0.0000 0.0000 [2 per cell]
Cd1 0.0000 0.0000 0.5000 [2 per cell]

Top 8 peaks for 2θ from 15° to 90°, low angle first:
- 2θ 28.35, I 100, (1 1 4)
- 2θ 32.73, I 35, (2 0 0)
- 2θ 33.11, I 16, (0 0 8)
- 2θ 46.96, I 13, (2 2 0)
- 2θ 47.24, I 24, (2 0 8)
- 2θ 55.77, I 31, (3 1 4)
- 2θ 56.27, I 13, (1 1 12)
- 2θ 58.66, I 13, (2 2 8)